This entry pairs a crystal structure of Pa4Tc2Sn with its theoretical X-ray powder pattern. Radiation: Cu Kα (λ = 1.5418 Å). Structure: the GGA-PBE geometry in Alexandria.
Lines closer than 0.1° are merged.

Crystal structure
a = 8.9824 Å, b = 8.9824 Å, c = 8.2123 Å
α = 90.00°, β = 90.00°, γ = 90.00°
Space group I-42d (No. 122)
One atom of each set of equivalent atoms:
Pa1 0.0720 0.6695 0.4178 x16
Tc1 0.1524 0.7500 0.1250 x8
Sn1 0.0000 0.0000 0.5000 x4

The 10 most intense peaks (5° ≤ 2θ ≤ 70°), most intense first:
| two_theta | d/Å | I_rel | h k l |
| --- | --- | --- | --- |
| 31.8 | 2.813 | 100 | 3 0 1 |
| 37.7 | 2.384 | 81 | 3 2 1 |
| 34.2 | 2.619 | 69 | 1 0 3 |
| 38.5 | 2.336 | 69 | 3 1 2 |
| 31.5 | 2.840 | 63 | 3 1 0 |
| 29.5 | 3.030 | 42 | 2 0 2 |
| 52.1 | 1.755 | 30 | 4 3 1 |
| 55.2 | 1.664 | 26 | 3 1 4 |
| 66.5 | 1.406 | 26 | 6 0 2 |
| 24.7 | 3.608 | 21 | 2 1 1 |